# 1
Starting from a GGA-PBE-relaxed structure, the powder XRD pattern of AcNdNi2H8 was computed for λ = 1.5418 Å (Cu Kα).

Cell and atoms:
Cell: 4.5735 4.5735 21.0010 Å, 90.00 90.00 120.00°
Space group R-3m (No. 166, hexagonal axes)
Inequivalent atoms, fractional coordinates:
Ac 0.0000 0.0000 0.0000 (multiplicity 3)
Nd 0.0000 0.0000 0.5000 (multiplicity 3)
Ni 0.0000 0.0000 0.2493 (multiplicity 6)
H 0.0000 0.0000 0.3254 (multiplicity 6)
H 0.0338 0.5169 0.5554 (multiplicity 18)

Most intense lines, 10 to 90 degrees two-theta, by angle:
h k l  two_theta  intensity
0 1 2  24.0  31.6
1 0 4  28.2  100.0
1 1 0  39.4  41.6
0 1 8  41.3  36.7
1 1 6  47.5  11.6
0 2 4  49.2  27.3
2 0 8  58.4  12.8
2 1 4  64.7  21.4
1 1 12  67.4  17.0
1 2 8  72.7  13.5

=====

# 2
Starting from a GGA-PBE-relaxed structure, the powder XRD pattern of AcNi4H7 was computed for λ = 1.5418 Å (Cu Kα).

Cell and atoms:
Cell: 3.782 11.867 4.660 Å, 90.00 90.00 90.00°
Space group Pmmn (No. 59, origin choice 2)
Inequivalent atoms, fractional coordinates:
Ac 0.250 0.250 0.195 (multiplicity 2)
Ni 0.250 0.509 0.816 (multiplicity 4)
Ni 0.250 0.626 0.305 (multiplicity 4)
H 0.250 0.007 0.175 (multiplicity 4)
H 0.250 0.124 0.702 (multiplicity 4)
H 0.250 0.629 0.651 (multiplicity 4)
H 0.250 0.750 0.173 (multiplicity 2)

Most intense lines, 10 to 90 degrees two-theta, by angle:
h k l  two_theta  intensity
0 1 1  20.5  24.4
0 3 1  29.6  50.0
1 0 1  30.4  27.4
1 3 0  32.8  56.7
1 2 1  34.1  100.0
0 0 2  38.6  22.1
0 5 1  42.8  27.0
2 0 0  48.1  21.0
1 2 2  48.4  19.0
1 6 1  56.1  22.4

=====

# 3
Starting from a GGA-PBE-relaxed structure, the powder XRD pattern of AcNi2PH2 was computed for λ = 1.5418 Å (Cu Kα).

Cell and atoms:
Cell: 5.986 4.978 6.160 Å, 90.00 108.71 90.00°
Space group P2_1/m (No. 11)
Inequivalent atoms, fractional coordinates:
Ac 0.180 0.250 0.295 (multiplicity 2)
Ni 0.339 0.002 0.800 (multiplicity 4)
P 0.330 0.750 0.098 (multiplicity 2)
H 0.140 0.250 0.723 (multiplicity 2)
H 0.282 0.750 0.611 (multiplicity 2)

Most intense lines, 10 to 90 degrees two-theta, by angle:
h k l  two_theta  intensity
0 1 1  23.5  100.0
1 1 0  23.8  79.0
1 1 -1  25.4  70.5
2 0 -1  30.3  53.1
0 0 2  30.6  58.1
2 1 0  36.5  40.8
2 0 1  39.5  39.1
1 2 -1  40.6  58.3
1 2 1  44.5  55.5
3 2 -2  61.7  40.6

=====

# 4
Starting from a GGA-PBE-relaxed structure, the powder XRD pattern of AcNi2H6Pb was computed for λ = 1.5418 Å (Cu Kα).

Cell and atoms:
Cell: 8.435 11.982 4.542 Å, 90.00 99.09 90.00°
Space group C2/c (No. 15)
Inequivalent atoms, fractional coordinates:
Ac 0.000 0.166 0.250 (multiplicity 4)
Ni 0.245 0.429 0.220 (multiplicity 8)
H 0.139 0.171 0.799 (multiplicity 8)
H 0.158 0.003 0.004 (multiplicity 8)
H 0.170 0.342 0.408 (multiplicity 8)
Pb 0.000 0.402 0.750 (multiplicity 4)

Most intense lines, 10 to 90 degrees two-theta, by angle:
h k l  two_theta  intensity
2 0 0  21.3  35.4
0 2 1  24.8  62.8
0 4 0  29.8  17.5
2 2 -1  30.8  100.0
2 2 1  35.0  60.4
1 5 0  39.1  18.9
0 0 2  40.2  25.9
4 0 0  43.4  28.1
4 4 0  53.6  13.5
6 2 -1  69.4  13.9

=====

# 5
Starting from a GGA-PBE-relaxed structure, the powder XRD pattern of AcPrNi2H6 was computed for λ = 1.5418 Å (Cu Kα).

Cell and atoms:
Cell: 7.823 9.857 6.597 Å, 90.00 112.27 90.00°
Space group C2/c (No. 15)
Inequivalent atoms, fractional coordinates:
Ac 0.000 0.154 0.250 (multiplicity 4)
Pr 0.000 0.418 0.750 (multiplicity 4)
Ni 0.184 0.145 0.823 (multiplicity 8)
H 0.096 0.380 0.128 (multiplicity 8)
H 0.169 0.253 0.636 (multiplicity 8)
H 0.174 0.045 0.005 (multiplicity 8)

Most intense lines, 10 to 90 degrees two-theta, by angle:
h k l  two_theta  intensity
0 2 1  23.2  60.8
2 0 0  24.6  43.8
0 0 2  29.3  75.8
2 2 -1  29.6  100.0
1 3 0  29.9  51.1
2 0 -2  30.3  51.7
0 4 0  36.5  26.3
2 2 1  38.0  77.3
1 3 -2  38.7  41.9
4 2 -1  50.4  38.3

=====

# 6
Starting from a GGA-PBE-relaxed structure, the powder XRD pattern of AcSiNiH was computed for λ = 1.5418 Å (Cu Kα).

Cell and atoms:
Cell: 4.1738 4.1738 4.6362 Å, 90.00 90.00 120.00°
Space group P3m1 (No. 156)
Inequivalent atoms, fractional coordinates:
Ac 0.0000 0.0000 0.0000 (multiplicity 1)
Si 0.6667 0.3333 0.5154 (multiplicity 1)
Ni 0.3333 0.6667 0.4790 (multiplicity 1)
H 0.3333 0.6667 0.1349 (multiplicity 1)

Most intense lines, 10 to 90 degrees two-theta, by angle:
h k l  two_theta  intensity
0 0 1  19.1  11.7
1 0 0  24.6  38.3
0 1 1  31.4  100.0
0 0 2  38.8  12.7
1 1 0  43.4  28.6
1 0 2  46.5  15.4
2 0 1  54.5  21.4
1 1 2  59.6  21.7
0 1 3  65.7  12.2
1 2 1  72.1  18.7

=====

# 7
Starting from a GGA-PBE-relaxed structure, the powder XRD pattern of Ac2ZnNiH was computed for λ = 1.5418 Å (Cu Kα).

Cell and atoms:
Cell: 6.756 4.369 8.263 Å, 90.00 106.43 90.00°
Space group P2_1/m (No. 11)
Inequivalent atoms, fractional coordinates:
Ac 0.229 0.250 0.416 (multiplicity 2)
Ac 0.236 0.250 0.957 (multiplicity 2)
Zn 0.355 0.750 0.714 (multiplicity 2)
Ni 0.435 0.750 0.232 (multiplicity 2)
H 0.180 0.750 0.177 (multiplicity 2)

Most intense lines, 10 to 90 degrees two-theta, by angle:
h k l  two_theta  intensity
1 1 0  24.6  100.0
2 0 0  27.5  49.4
1 0 2  29.6  41.0
2 0 -2  30.3  44.3
0 1 2  30.5  58.9
1 1 -2  30.7  65.8
1 1 2  36.1  41.3
2 1 -2  36.8  33.7
0 2 0  41.3  35.1
3 1 0  46.9  37.4

=====

# 8
Starting from a GGA-PBE-relaxed structure, the powder XRD pattern of AcH2O3 was computed for λ = 1.5418 Å (Cu Kα).

Cell and atoms:
Cell: 3.917 7.328 5.703 Å, 90.00 90.00 90.00°
Space group Pmc2_1 (No. 26)
Inequivalent atoms, fractional coordinates:
Ac 0.000 0.229 0.000 (multiplicity 2)
H 0.000 0.390 0.536 (multiplicity 2)
H 0.500 0.164 0.471 (multiplicity 2)
O 0.000 0.462 0.680 (multiplicity 2)
O 0.500 0.127 0.754 (multiplicity 2)
O 0.500 0.184 0.294 (multiplicity 2)

Most intense lines, 10 to 90 degrees two-theta, by angle:
h k l  two_theta  intensity
0 1 1  19.7  100.0
1 0 0  22.7  33.6
0 2 0  24.3  30.7
1 1 1  30.2  79.5
1 2 0  33.5  21.3
1 0 2  39.1  24.1
0 2 2  40.1  34.3
1 2 2  46.6  49.1
2 1 1  50.8  17.9
2 2 2  62.9  18.6

=====

- Which formula does entry 6 have?
  AcSiNiH